The following is a simulated X-ray powder pattern of Y4TmZn. It was derived from a DFT-relaxed cell (GGA-PBE, Alexandria), using Cu Kα.
Lines closer than 0.1° are merged.

Principal peaks in the range 2θ from 5° to 70°, in order of rising 2θ:
2theta	I (rel.)	index
28.2	17.9	1 0 2
31.8	100.0	1 0 3
32.6	9.3	0 0 5
35.6	43.4	1 1 0
39.4	8.4	0 0 6
49.1	11.7	1 1 5
51.3	15.1	2 0 0
54.2	13.1	1 1 6
59.9	10.4	1 0 8
61.7	29.0	2 1 3

Lattice parameters (Å, degrees): 3.562 3.562 13.717 90.00 90.00 90.00
Space group P4/mmm (No. 123)
One atom of each set of equivalent atoms:
Y  0.000  0.000  0.130 (multiplicity 2)
Y  0.500  0.500  0.320 (multiplicity 2)
Tm  0.000  0.000  0.500 (multiplicity 1)
Zn  0.500  0.500  0.000 (multiplicity 1)

The following is a simulated X-ray powder pattern of Y4Tm6Zr. It was derived from a DFT-relaxed cell (GGA-PBE, Alexandria), using Cu Kα.
Lines closer than 0.1° are merged.

Principal peaks in the range 2θ from 5° to 70°, in order of rising 2θ:
2theta	I (rel.)	index
29.0	12.8	2 2 0
30.7	100.0	2 1 2
32.3	12.8	1 0 3
32.5	69.0	3 1 0
38.5	15.2	2 1 3
46.6	14.4	4 2 0
47.8	11.2	4 1 2
49.0	11.6	3 2 3
53.4	9.9	3 1 4
61.1	21.2	5 2 2

Lattice parameters (Å, degrees): 8.706 8.706 8.768 90.00 90.00 90.00
Space group P4/mnc (No. 128)
One atom of each set of equivalent atoms:
Y  0.148  0.352  0.250 (multiplicity 8)
Tm  0.000  0.000  0.173 (multiplicity 4)
Tm  0.150  0.652  0.500 (multiplicity 8)
Zr  0.000  0.000  0.500 (multiplicity 2)

The following is a simulated X-ray powder pattern of Y8Tm6Zr. It was derived from a DFT-relaxed cell (GGA-PBE, Alexandria), using Cu Kα.
Lines closer than 0.1° are merged.

Principal peaks in the range 2θ from 5° to 70°, in order of rising 2θ:
2theta	I (rel.)	index
21.1	4.8	2 0 0
28.0	24.5	1 2 0
31.1	22.2	0 0 2
32.1	100.0	1 2 1
42.4	20.0	3 -1 2
49.5	19.7	4 1 0
56.0	19.4	3 -1 3
59.7	18.0	4 1 2
60.3	14.3	6 -2 1
67.2	5.5	2 4 2

Lattice parameters (Å, degrees): 9.7357 9.7357 5.7430 90.00 90.00 120.00
Space group P-3 (No. 147)
One atom of each set of equivalent atoms:
Y  0.0500  0.7804  0.2664 (multiplicity 6)
Y  0.3333  0.6667  0.2644 (multiplicity 2)
Tm  0.0933  0.6198  0.7555 (multiplicity 6)
Zr  0.0000  0.0000  0.0000 (multiplicity 1)